1.
Structure and computed powder diffractogram of PrP3O9 (the GGA-PBE geometry in the Materials Project; CuKα).
Peak positions follow from Bragg's law for the DFT cell and can differ from measured ones.

Principal peaks in the range 2θ = 10–80°, in order of falling intensity:
2θ 23.9, rel. 100.0
2θ 25.7, rel. 73.3
2θ 15.6, rel. 72.8
2θ 28.5, rel. 55.0
2θ 23.8, rel. 41.4
2θ 17.5, rel. 39.0
2θ 34.2, rel. 35.0
2θ 12.8, rel. 29.6
2θ 35.4, rel. 27.0
2θ 45.1, rel. 26.7

Structure:
Lattice parameters (Å, degrees): 7.148 7.148 7.432 90.00 90.00 105.31
Fractional coordinates of all 26 atoms:
Pr (0.127, 0.127, 0.000)
Pr (0.873, 0.873, 0.500)
P (0.251, 0.251, 0.500)
P (0.316, 0.667, 0.047)
P (0.333, 0.684, 0.453)
P (0.667, 0.316, 0.953)
P (0.684, 0.333, 0.547)
P (0.749, 0.749, 0.000)
O (0.135, 0.172, 0.333)
O (0.172, 0.135, 0.667)
O (0.173, 0.781, 0.463)
O (0.219, 0.827, 0.037)
O (0.220, 0.475, 0.964)
O (0.252, 0.470, 0.541)
O (0.373, 0.627, 0.250)
O (0.470, 0.252, 0.459)
O (0.475, 0.220, 0.036)
O (0.525, 0.780, 0.536)
O (0.530, 0.748, 0.959)
O (0.627, 0.373, 0.750)
O (0.748, 0.530, 0.041)
O (0.780, 0.525, 0.464)
O (0.781, 0.173, 0.537)
O (0.827, 0.219, 0.963)
O (0.828, 0.865, 0.167)
O (0.865, 0.828, 0.833)

***

2.
Structure and computed powder diffractogram of PrPO4 (the GGA-PBE geometry in the Materials Project; CuKα).
Peak positions follow from Bragg's law for the DFT cell and can differ from measured ones.

Principal peaks in the range 2θ = 10–80°, in order of falling intensity:
2θ 28.5, rel. 100.0
2θ 31.1, rel. 87.5
2θ 26.7, rel. 59.3
2θ 21.0, rel. 45.2
2θ 45.9, rel. 32.7
2θ 48.1, rel. 28.6
2θ 52.1, rel. 24.4
2θ 18.8, rel. 24.3
2θ 40.8, rel. 23.5
2θ 41.6, rel. 23.2

Structure:
Lattice parameters (Å, degrees): 6.488 7.087 8.255 90.00 125.89 90.00
Fractional coordinates of all 24 atoms:
Pr (0.187, 0.157, 0.284)
Pr (0.187, 0.343, 0.784)
Pr (0.813, 0.657, 0.216)
Pr (0.813, 0.843, 0.716)
P (0.308, 0.661, 0.197)
P (0.308, 0.839, 0.697)
P (0.692, 0.161, 0.303)
P (0.692, 0.339, 0.803)
O (0.117, 0.670, 0.619)
O (0.117, 0.830, 0.119)
O (0.189, 0.505, 0.251)
O (0.189, 0.995, 0.751)
O (0.337, 0.602, 0.030)
O (0.337, 0.898, 0.530)
O (0.417, 0.211, 0.126)
O (0.417, 0.289, 0.626)
O (0.583, 0.711, 0.374)
O (0.583, 0.789, 0.874)
O (0.663, 0.102, 0.470)
O (0.663, 0.398, 0.970)
O (0.811, 0.005, 0.249)
O (0.811, 0.495, 0.749)
O (0.883, 0.170, 0.881)
O (0.883, 0.330, 0.381)

***

3.
Structure and computed powder diffractogram of P2PtO7 (the GGA-PBE geometry in the Materials Project; CuKα).
Peak positions follow from Bragg's law for the DFT cell and can differ from measured ones.

Principal peaks in the range 2θ = 10–80°, in order of falling intensity:
2θ 17.2, rel. 100.0
2θ 22.6, rel. 42.6
2θ 30.2, rel. 37.8
2θ 30.3, rel. 27.1
2θ 26.9, rel. 18.0
2θ 34.9, rel. 14.9
2θ 39.6, rel. 14.0
2θ 20.3, rel. 13.6
2θ 36.1, rel. 12.1
2θ 63.7, rel. 9.8

Structure:
Lattice parameters (Å, degrees): 7.204 8.040 9.514 90.00 112.99 90.00
Fractional coordinates of all 40 atoms:
P (0.068, 0.180, 0.320)
P (0.068, 0.320, 0.820)
P (0.343, 0.748, 0.207)
P (0.343, 0.752, 0.707)
P (0.657, 0.248, 0.293)
P (0.657, 0.252, 0.793)
P (0.932, 0.680, 0.180)
P (0.932, 0.820, 0.680)
Pt (0.000, 0.000, 0.000)
Pt (0.000, 0.500, 0.500)
Pt (0.500, 0.000, 0.500)
Pt (0.500, 0.500, 0.000)
O (0.058, 0.186, 0.155)
O (0.058, 0.314, 0.655)
O (0.123, 0.141, 0.882)
O (0.123, 0.359, 0.382)
O (0.150, 0.633, 0.181)
O (0.150, 0.867, 0.681)
O (0.199, 0.040, 0.421)
O (0.199, 0.460, 0.921)
O (0.278, 0.601, 0.600)
O (0.278, 0.899, 0.100)
O (0.443, 0.713, 0.878)
O (0.443, 0.787, 0.378)
O (0.497, 0.638, 0.176)
O (0.497, 0.862, 0.676)
O (0.503, 0.138, 0.324)
O (0.503, 0.362, 0.824)
O (0.557, 0.213, 0.622)
O (0.557, 0.287, 0.122)
O (0.722, 0.101, 0.900)
O (0.722, 0.399, 0.400)
O (0.801, 0.540, 0.079)
O (0.801, 0.960, 0.579)
O (0.850, 0.133, 0.319)
O (0.850, 0.367, 0.819)
O (0.877, 0.641, 0.618)
O (0.877, 0.859, 0.118)
O (0.942, 0.686, 0.345)
O (0.942, 0.814, 0.845)